Record 1
Diffraction record for MgZnHgTe3. The X-ray powder pattern is simulated, not measured: it uses the PBE geometry in OQMD and CuKα.
Intensities are scaled so that the largest is 100.

a b c (Å): 7.119 7.119 12.370
angles (deg): 90.00 90.00 147.07
Fractional positions:
Mg  0.229  0.771  0.750
Mg  0.771  0.229  0.250
Zn  0.473  0.527  0.250
Zn  0.527  0.473  0.750
Hg  0.000  0.000  0.000
Hg  0.000  0.000  0.500
Te  0.103  0.897  0.250
Te  0.351  0.649  0.083
Te  0.351  0.649  0.417
Te  0.649  0.351  0.583
Te  0.649  0.351  0.917
Te  0.897  0.103  0.750

Principal peaks in the range 2θ from 10° to 80°, in order of rising 2θ:
| two_theta | I (rel.) |
| --- | --- |
| 12.97 | 47 |
| 24.10 | 30 |
| 25.23 | 56 |
| 29.59 | 35 |
| 30.48 | 30 |
| 31.75 | 40 |
| 33.01 | 100 |
| 37.22 | 35 |
| 42.56 | 34 |
| 44.93 | 25 |

=====

Record 2
Diffraction record for CdSbAsPb2. The X-ray powder pattern is simulated, not measured: it uses the PBE geometry in OQMD and CuKα.
Intensities are scaled so that the largest is 100.

a b c (Å): 8.786 8.786 7.680
angles (deg): 90.00 90.00 149.55
Fractional positions:
Cd  0.098  0.902  0.500
Cd  0.902  0.098  0.000
Sb  0.075  0.925  0.887
Sb  0.925  0.075  0.387
As  0.320  0.680  0.900
As  0.680  0.320  0.400
Pb  0.294  0.706  0.285
Pb  0.463  0.537  0.681
Pb  0.537  0.463  0.181
Pb  0.706  0.294  0.785

Principal peaks in the range 2θ from 10° to 80°, in order of rising 2θ:
| two_theta | I (rel.) |
| --- | --- |
| 23.98 | 36 |
| 27.52 | 100 |
| 30.75 | 85 |
| 31.43 | 26 |
| 32.77 | 89 |
| 34.27 | 41 |
| 39.04 | 49 |
| 41.19 | 28 |
| 58.05 | 24 |
| 64.10 | 26 |

=====

Record 3
Diffraction record for DyEr2Fe2Co7. The X-ray powder pattern is simulated, not measured: it uses the PBE geometry in OQMD and CuKα.
Intensities are scaled so that the largest is 100.

a b c (Å): 8.392 8.392 8.392
angles (deg): 34.87 34.87 34.87
Fractional positions:
Dy  0.000  0.000  0.000
Er  0.141  0.141  0.141
Er  0.859  0.859  0.859
Fe  0.334  0.334  0.334
Fe  0.666  0.666  0.666
Co  0.080  0.584  0.584
Co  0.416  0.416  0.920
Co  0.416  0.920  0.416
Co  0.500  0.500  0.500
Co  0.584  0.080  0.584
Co  0.584  0.584  0.080
Co  0.920  0.416  0.416

Principal peaks in the range 2θ from 10° to 80°, in order of rising 2θ:
| two_theta | I (rel.) |
| --- | --- |
| 33.60 | 52 |
| 35.71 | 59 |
| 36.78 | 40 |
| 41.65 | 42 |
| 42.67 | 100 |
| 62.81 | 18 |
| 64.85 | 14 |
| 68.94 | 23 |
| 70.60 | 24 |
| 75.64 | 22 |

=====

Record 4
Diffraction record for Th2CoNi. The X-ray powder pattern is simulated, not measured: it uses the PBE geometry in OQMD and CuKα.
Intensities are scaled so that the largest is 100.

a b c (Å): 5.821 4.153 7.444
angles (deg): 90.00 109.42 90.00
Fractional positions:
Th  0.231  0.250  0.429
Th  0.232  0.250  0.939
Th  0.768  0.750  0.061
Th  0.769  0.750  0.571
Co  0.309  0.750  0.208
Co  0.691  0.250  0.792
Ni  0.332  0.750  0.707
Ni  0.668  0.250  0.293

Principal peaks in the range 2θ from 10° to 80°, in order of rising 2θ:
| two_theta | I (rel.) |
| --- | --- |
| 26.92 | 100 |
| 32.62 | 77 |
| 33.26 | 92 |
| 33.42 | 84 |
| 34.12 | 31 |
| 40.63 | 45 |
| 41.05 | 47 |
| 43.59 | 43 |
| 48.95 | 31 |
| 55.49 | 35 |

=====

Record 5
Diffraction record for SrLiTb. The X-ray powder pattern is simulated, not measured: it uses the PBE geometry in OQMD and CuKα.
Intensities are scaled so that the largest is 100.

a b c (Å): 5.408 5.408 5.408
angles (deg): 60.00 60.00 60.00
Fractional positions:
Sr  0.000  0.000  0.000
Li  0.250  0.250  0.250
Tb  0.500  0.500  0.500

Principal peaks in the range 2θ from 10° to 80°, in order of rising 2θ:
| two_theta | I (rel.) |
| --- | --- |
| 20.11 | 15 |
| 23.26 | 100 |
| 33.13 | 89 |
| 40.87 | 30 |
| 47.55 | 16 |
| 53.58 | 41 |
| 59.18 | 33 |
| 69.52 | 10 |
| 74.42 | 20 |
| 79.21 | 14 |

=====

Record 6
Diffraction record for Sr2LiH6Pt. The X-ray powder pattern is simulated, not measured: it uses the PBE geometry in OQMD and CuKα.
Intensities are scaled so that the largest is 100.

a b c (Å): 5.434 5.434 7.704
angles (deg): 90.00 90.00 90.00
Fractional positions:
Sr  0.000  0.500  0.250
Sr  0.000  0.500  0.750
Sr  0.500  0.000  0.250
Sr  0.500  0.000  0.750
Li  0.000  0.000  0.000
Li  0.500  0.500  0.500
H  0.000  0.000  0.260
H  0.000  0.000  0.740
H  0.238  0.757  0.500
H  0.243  0.238  0.500
H  0.259  0.261  0.000
H  0.261  0.741  0.000
H  0.500  0.500  0.240
H  0.500  0.500  0.760
H  0.739  0.259  0.000
H  0.741  0.739  0.000
H  0.757  0.762  0.500
H  0.762  0.243  0.500
Pt  0.000  0.000  0.500
Pt  0.500  0.500  0.000

Principal peaks in the range 2θ from 10° to 80°, in order of rising 2θ:
| two_theta | I (rel.) |
| --- | --- |
| 20.00 | 58 |
| 32.94 | 100 |
| 38.83 | 32 |
| 47.32 | 13 |
| 51.81 | 14 |
| 58.82 | 38 |
| 62.81 | 8 |
| 69.05 | 8 |
| 72.71 | 7 |
| 78.75 | 11 |

=====

Record 7
Diffraction record for TbAgPbS3. The X-ray powder pattern is simulated, not measured: it uses the PBE geometry in OQMD and CuKα.
Intensities are scaled so that the largest is 100.

a b c (Å): 11.813 4.112 11.686
angles (deg): 90.00 90.00 90.00
Fractional positions:
Tb  0.026  0.250  0.169
Tb  0.474  0.750  0.669
Tb  0.526  0.250  0.331
Tb  0.974  0.750  0.831
Ag  0.245  0.750  0.310
Ag  0.255  0.250  0.810
Ag  0.745  0.750  0.190
Ag  0.755  0.250  0.690
Pb  0.164  0.250  0.517
Pb  0.336  0.750  0.017
Pb  0.664  0.250  0.983
Pb  0.836  0.750  0.483
S  0.032  0.750  0.344
S  0.087  0.250  0.934
S  0.242  0.750  0.671
S  0.258  0.250  0.171
S  0.413  0.750  0.434
S  0.468  0.250  0.844
S  0.532  0.750  0.156
S  0.587  0.250  0.566
S  0.742  0.750  0.829
S  0.758  0.250  0.329
S  0.913  0.750  0.066
S  0.968  0.250  0.656

Principal peaks in the range 2θ from 10° to 80°, in order of rising 2θ:
| two_theta | I (rel.) |
| --- | --- |
| 23.85 | 68 |
| 24.08 | 55 |
| 26.41 | 44 |
| 27.50 | 54 |
| 27.58 | 39 |
| 30.59 | 38 |
| 32.56 | 100 |
| 34.01 | 37 |
| 44.05 | 33 |
| 44.92 | 45 |

=====

Copy entry 6 word for word.
Diffraction record for Sr2LiH6Pt. The X-ray powder pattern is simulated, not measured: it uses the PBE geometry in OQMD and CuKα.
Intensities are scaled so that the largest is 100.

a b c (Å): 5.434 5.434 7.704
angles (deg): 90.00 90.00 90.00
Fractional positions:
Sr  0.000  0.500  0.250
Sr  0.000  0.500  0.750
Sr  0.500  0.000  0.250
Sr  0.500  0.000  0.750
Li  0.000  0.000  0.000
Li  0.500  0.500  0.500
H  0.000  0.000  0.260
H  0.000  0.000  0.740
H  0.238  0.757  0.500
H  0.243  0.238  0.500
H  0.259  0.261  0.000
H  0.261  0.741  0.000
H  0.500  0.500  0.240
H  0.500  0.500  0.760
H  0.739  0.259  0.000
H  0.741  0.739  0.000
H  0.757  0.762  0.500
H  0.762  0.243  0.500
Pt  0.000  0.000  0.500
Pt  0.500  0.500  0.000

Principal peaks in the range 2θ from 10° to 80°, in order of rising 2θ:
| two_theta | I (rel.) |
| --- | --- |
| 20.00 | 58 |
| 32.94 | 100 |
| 38.83 | 32 |
| 47.32 | 13 |
| 51.81 | 14 |
| 58.82 | 38 |
| 62.81 | 8 |
| 69.05 | 8 |
| 72.71 | 7 |
| 78.75 | 11 |